Simulated PXRD pattern of Ba2CuSe2F for Cu Kα, from DFT lattice parameters and positions (GGA-PBE).
Lines closer than 0.1° are merged.

Structure:
```
Ba2CuSe2F
1.0
4.7087 0.0000 0.0000
0.0000 4.7087 0.0000
0.0000 0.0000 15.2297
Ba Cu Se F
2 1 2 1
direct
0.0000 0.0000 0.1637 Ba
0.0000 0.0000 0.8363 Ba
0.0000 0.0000 0.5000 Cu
0.0000 0.0000 0.3554 Se
0.0000 0.0000 0.6446 Se
0.0000 0.0000 0.0000 F
```

Main lines, in order of falling intensity (2θ = 15–90°):
| 2theta | d (Å) | I/Imax | index |
| --- | --- | --- | --- |
| 18.85 | 4.709 | 1000 | 1 0 0 |
| 26.78 | 3.330 | 425 | 1 1 0 |
| 42.95 | 2.106 | 232 | 2 1 0 |
| 40.37 | 2.234 | 223 | 1 0 6 |
| 44.90 | 2.019 | 163 | 1 1 6 |
| 38.23 | 2.354 | 162 | 2 0 0 |